The following is a simulated powder XRD pattern of Te2W. It was derived from a GGA-PBE-relaxed structure, using Cu Kα, 1.54184 Å.
Peak positions follow from Bragg's law for the DFT cell and can differ from measured ones.

Principal peaks in the range 2θ = 10–80°, by angle:
(0 0 2), 11.7 deg, I 90
(1 0 0), 29.0 deg, I 40
(1 0 2), 31.4 deg, I 14
(1 0 3), 34.1 deg, I 100
(1 0 5), 41.9 deg, I 70
(0 0 8), 48.2 deg, I 13
(1 1 0), 51.4 deg, I 33
(1 1 2), 52.9 deg, I 13
(1 0 8), 57.2 deg, I 13
(2 0 3), 63.2 deg, I 17
(2 0 5), 68.4 deg, I 16
(1 1 8), 73.1 deg, I 22

Structure:
abc: 3.553 3.553 15.117
angles: 90.00 90.00 120.00
Positions (direct):
Te  0.333  0.667  0.129
Te  0.333  0.667  0.371
Te  0.667  0.333  0.629
Te  0.667  0.333  0.871
W  0.333  0.667  0.750
W  0.667  0.333  0.250